For Ti17N6O24, the PBE geometry in Alexandria gives the calculated XRD peak list in this record (a wavelength of 1.5418 Å).

Top 8 peaks for 2θ = 10–80°, most intense first:
d (Å)	2θ (°)	intensity
3.549	25.1	100
2.752	32.5	75
4.829	18.4	40
1.908	47.7	36
2.436	36.9	27
1.958	46.4	24
1.568	58.9	23
1.532	60.4	20

Structural model:
Cell: 7.4892 7.4892 10.7473 Å, 105.76 105.76 80.29°
Fractional positions:
Ti: 0.0000 0.0000 0.0000
Ti: 0.0526 0.1590 0.3275
Ti: 0.0626 0.7316 0.1910
Ti: 0.1663 0.2740 0.6723
Ti: 0.2684 0.9374 0.8090
Ti: 0.3341 0.3295 0.9989
Ti: 0.3781 0.5002 0.3177
Ti: 0.3907 0.0587 0.1748
Ti: 0.4446 0.2279 0.4997
Ti: 0.4998 0.6219 0.6823
Ti: 0.6064 0.2751 0.8228
Ti: 0.6705 0.6659 0.0011
Ti: 0.7249 0.3936 0.1772
Ti: 0.7260 0.8337 0.3277
Ti: 0.7721 0.5554 0.5003
Ti: 0.8410 0.9474 0.6725
Ti: 0.9413 0.6093 0.8252
N: 0.2049 0.1567 0.4999
N: 0.2385 0.0911 0.9988
N: 0.5342 0.4658 0.5000
N: 0.5739 0.4261 0.0000
N: 0.8433 0.7951 0.5001
N: 0.9089 0.7615 0.0012
O: 0.0479 0.0853 0.7001
O: 0.0539 0.8213 0.8127
O: 0.1489 0.4429 0.8697
O: 0.1787 0.9461 0.1873
O: 0.2149 0.6929 0.3581
O: 0.2293 0.5198 0.1274
O: 0.2685 0.2761 0.3118
O: 0.3071 0.7851 0.6419
O: 0.3875 0.1527 0.8122
O: 0.3941 0.4014 0.6884
O: 0.4802 0.7707 0.8726
O: 0.5162 0.2693 0.1797
O: 0.5480 0.0337 0.3687
O: 0.5571 0.8511 0.1303
O: 0.5986 0.6059 0.3116
O: 0.6359 0.1218 0.6318
O: 0.7239 0.7315 0.6882
O: 0.7307 0.4838 0.8203
O: 0.8021 0.0980 0.8703
O: 0.8473 0.6125 0.1878
O: 0.8782 0.3641 0.3682
O: 0.9020 0.1979 0.1297
O: 0.9147 0.9521 0.2999
O: 0.9663 0.4520 0.6313